# 1
Starting from a GGA+U-relaxed structure, the powder X-ray diffraction pattern of Fe2O3F was simulated for Cu Kα (weighted mean of Kα1 and Kα2).
Kinematic intensities with the Lorentz-polarization factor, no thermal factor.

Structural model:
```
data_Fe2O3F
_chemical_formula_sum 'Fe8 O12 F4'
_cell_length_a 5.551
_cell_length_b 4.650
_cell_length_c 10.236
_cell_angle_alpha 90.00
_cell_angle_beta 95.45
_cell_angle_gamma 90.00
_symmetry_space_group_name_H-M 'P 1 21/c 1'
_symmetry_Int_Tables_number 14
_symmetry_space_group_name_Hall '-P 2ybc'
loop_
_atom_site_label
_atom_site_fract_x
_atom_site_fract_y
_atom_site_fract_z
Fe1 0.000 0.000 0.000
Fe2 0.243 0.021 0.740
Fe3 0.500 0.000 0.500
O1 0.020 0.693 0.672
O2 0.232 0.202 0.567
O3 0.484 0.186 0.332
F1 0.272 0.696 0.418
```

Top 10 peaks for 2θ from 10° to 80°, in order of rising 2θ:
Position (°2θ), I_rel, hkl
27.04, 100, 1 1 1
35.23, 13, 0 0 4
35.42, 39, 2 0 -2
40.57, 7, 2 1 -2
53.14, 14, 1 1 5
53.35, 15, 0 2 4
53.49, 30, 3 1 -1
55.76, 16, 2 2 2
61.29, 8, 2 0 -6
67.95, 10, 1 3 -3



# 2
Starting from a GGA+U-relaxed structure, the powder X-ray diffraction pattern of Fe3O2F4 was simulated for Cu Kα (weighted mean of Kα1 and Kα2).
Kinematic intensities with the Lorentz-polarization factor, no thermal factor.

Structural model:
```
data_Fe3O2F4
_chemical_formula_sum 'Fe6 O4 F8'
_cell_length_a 4.785
_cell_length_b 4.800
_cell_length_c 10.491
_cell_angle_alpha 90.00
_cell_angle_beta 116.02
_cell_angle_gamma 90.00
_symmetry_space_group_name_H-M 'P 1 21/c 1'
_symmetry_Int_Tables_number 14
_symmetry_space_group_name_Hall '-P 2ybc'
loop_
_atom_site_label
_atom_site_fract_x
_atom_site_fract_y
_atom_site_fract_z
Fe1 0.000 0.000 0.000
Fe2 0.285 0.014 0.323
O1 0.026 0.190 0.831
F1 0.318 0.682 0.002
F2 0.386 0.215 0.175
```

Top 10 peaks for 2θ from 10° to 80°, in order of rising 2θ:
Position (°2θ), I_rel, hkl
26.30, 100, 1 1 -1
33.82, 13, 1 0 2
34.10, 27, 0 1 3
34.45, 13, 1 0 -4
51.21, 13, 2 1 1
51.36, 14, 1 2 2
51.81, 17, 1 2 -4
52.11, 16, 2 1 -5
54.13, 18, 2 2 -2
65.46, 12, 0 3 3



# 3
Starting from a GGA+U-relaxed structure, the powder X-ray diffraction pattern of Fe2OF3 was simulated for Cu Kα (weighted mean of Kα1 and Kα2).
Kinematic intensities with the Lorentz-polarization factor, no thermal factor.

Structural model:
```
data_Fe2OF3
_chemical_formula_sum 'Fe16 O8 F24'
_cell_length_a 12.408
_cell_length_b 6.955
_cell_length_c 6.802
_cell_angle_alpha 90.00
_cell_angle_beta 90.00
_cell_angle_gamma 90.00
_symmetry_space_group_name_H-M 'A m m 2'
_symmetry_Int_Tables_number 38
_symmetry_space_group_name_Hall 'A 2 -2'
loop_
_atom_site_label
_atom_site_fract_x
_atom_site_fract_y
_atom_site_fract_z
Fe1 0.000 0.000 0.000
Fe2 0.124 0.000 0.528
Fe3 0.250 0.000 0.052
Fe4 0.375 0.000 0.503
Fe5 0.500 0.000 0.038
O1 0.000 0.000 0.697
O2 0.246 0.000 0.349
O3 0.500 0.000 0.340
F1 0.000 0.000 0.321
F2 0.124 0.204 0.025
F3 0.251 0.000 0.733
F4 0.376 0.208 0.031
F5 0.500 0.000 0.720
```

Top 10 peaks for 2θ from 10° to 80°, in order of rising 2θ:
Position (°2θ), I_rel, hkl
25.62, 92, 0 2 0
26.20, 96, 0 0 2
34.29, 100, 4 1 1
38.91, 19, 4 2 0
39.31, 18, 4 0 2
50.98, 60, 4 3 1
51.63, 54, 4 1 3
52.64, 22, 0 4 0
59.61, 17, 8 0 0
64.91, 40, 4 3 3



# 4
Starting from a GGA+U-relaxed structure, the powder X-ray diffraction pattern of Fe4OF7 was simulated for Cu Kα (weighted mean of Kα1 and Kα2).
Kinematic intensities with the Lorentz-polarization factor, no thermal factor.

Structural model:
```
data_Fe4OF7
_chemical_formula_sum 'Fe8 O2 F14'
_cell_length_a 4.817
_cell_length_b 5.831
_cell_length_c 10.819
_cell_angle_alpha 82.43
_cell_angle_beta 89.70
_cell_angle_gamma 89.70
_symmetry_space_group_name_H-M 'P -1'
_symmetry_Int_Tables_number 2
_symmetry_space_group_name_Hall '-P 1'
loop_
_atom_site_label
_atom_site_fract_x
_atom_site_fract_y
_atom_site_fract_z
Fe1 0.005 0.127 0.125
Fe2 0.011 0.387 0.371
Fe3 0.476 0.853 0.375
Fe4 0.487 0.622 0.133
O1 0.309 0.616 0.308
F1 0.195 0.339 0.549
F2 0.196 0.601 0.798
F3 0.203 0.855 0.049
F4 0.207 0.104 0.303
F5 0.300 0.085 0.788
F6 0.304 0.350 0.046
F7 0.310 0.857 0.547
```

Top 10 peaks for 2θ from 10° to 80°, in order of rising 2θ:
Position (°2θ), I_rel, hkl
26.13, 100, 1 1 -1
33.23, 29, 0 2 2
33.44, 27, 0 0 4
38.35, 10, -1 2 2
50.62, 16, 2 2 2
50.82, 17, -1 3 1
50.99, 24, 1 -1 5
53.71, 9, 2 2 -2
53.81, 10, 2 -2 2
56.89, 11, 0 2 6



# 5
Starting from a GGA+U-relaxed structure, the powder X-ray diffraction pattern of Fe3O2F4 was simulated for Cu Kα (weighted mean of Kα1 and Kα2).
Kinematic intensities with the Lorentz-polarization factor, no thermal factor.

Structural model:
```
data_Fe3O2F4
_chemical_formula_sum 'Fe12 O8 F16'
_cell_length_a 9.260
_cell_length_b 6.805
_cell_length_c 7.531
_cell_angle_alpha 90.00
_cell_angle_beta 112.87
_cell_angle_gamma 90.00
_symmetry_space_group_name_H-M 'C 1 2 1'
_symmetry_Int_Tables_number 5
_symmetry_space_group_name_Hall 'C 2y'
loop_
_atom_site_label
_atom_site_fract_x
_atom_site_fract_y
_atom_site_fract_z
Fe1 0.000 0.000 0.000
Fe2 0.000 0.002 0.500
Fe3 0.170 0.463 0.688
Fe4 0.187 0.502 0.156
O1 0.174 0.186 0.672
O2 0.232 0.992 0.038
F1 0.000 0.318 0.000
F2 0.000 0.678 0.000
F3 0.063 0.490 0.372
F4 0.113 0.988 0.307
F5 0.173 0.785 0.670
```

Top 10 peaks for 2θ from 10° to 80°, in order of rising 2θ:
Position (°2θ), I_rel, hkl
26.06, 99, 2 0 -2
26.19, 100, 0 2 0
34.13, 100, 1 1 2
39.08, 30, 4 0 -1
51.28, 29, 1 1 -4
51.46, 58, 1 3 2
51.53, 27, 3 3 0
58.99, 18, 4 0 2
65.16, 21, 1 3 -4
65.28, 20, 5 3 -2



# 6
Starting from a GGA+U-relaxed structure, the powder X-ray diffraction pattern of Fe4OF6 was simulated for Cu Kα (weighted mean of Kα1 and Kα2).
Kinematic intensities with the Lorentz-polarization factor, no thermal factor.

Structural model:
```
data_Fe4OF6
_chemical_formula_sum 'Fe8 O2 F12'
_cell_length_a 5.170
_cell_length_b 7.173
_cell_length_c 7.194
_cell_angle_alpha 91.50
_cell_angle_beta 90.34
_cell_angle_gamma 90.38
_symmetry_space_group_name_H-M 'P 1'
_symmetry_Int_Tables_number 1
_symmetry_space_group_name_Hall 'P 1'
loop_
_atom_site_label
_atom_site_fract_x
_atom_site_fract_y
_atom_site_fract_z
Fe1 0.000 0.000 0.000
Fe2 0.022 0.512 0.000
Fe3 0.407 0.763 0.252
Fe4 0.430 0.765 0.765
Fe5 0.499 0.276 0.723
Fe6 0.523 0.276 0.236
Fe7 0.906 0.527 0.487
Fe8 0.929 0.040 0.489
O1 0.215 0.770 0.995
O2 0.715 0.270 0.494
F1 0.089 0.785 0.453
F2 0.209 0.493 0.685
F3 0.215 0.481 0.282
F4 0.217 0.055 0.707
F5 0.220 0.079 0.271
F6 0.338 0.307 0.978
F7 0.590 0.731 0.510
F8 0.709 0.961 0.217
F9 0.714 0.558 0.205
F10 0.716 0.984 0.780
F11 0.719 0.547 0.804
F12 0.839 0.255 0.034
```

Top 10 peaks for 2θ from 10° to 80°, in order of rising 2θ:
Position (°2θ), I_rel, hkl
30.22, 92, 1 0 -2
30.40, 100, 1 2 0
34.87, 10, 0 2 -2
44.76, 10, 2 -2 1
50.02, 29, 2 2 -2
50.49, 15, -2 2 2
50.79, 19, 0 0 4
50.96, 33, 0 4 0
59.68, 23, 1 2 -4
60.92, 13, -1 4 2



# 7
Starting from a GGA+U-relaxed structure, the powder X-ray diffraction pattern of Fe6O7F5 was simulated for Cu Kα (weighted mean of Kα1 and Kα2).
Kinematic intensities with the Lorentz-polarization factor, no thermal factor.

Structural model:
```
data_Fe6O7F5
_chemical_formula_sum 'Fe6 O7 F5'
_cell_length_a 4.695
_cell_length_b 5.634
_cell_length_c 7.747
_cell_angle_alpha 85.86
_cell_angle_beta 89.57
_cell_angle_gamma 88.87
_symmetry_space_group_name_H-M 'P 1'
_symmetry_Int_Tables_number 1
_symmetry_space_group_name_Hall 'P 1'
loop_
_atom_site_label
_atom_site_fract_x
_atom_site_fract_y
_atom_site_fract_z
Fe1 0.000 0.000 0.000
Fe2 0.003 0.664 0.328
Fe3 0.443 0.189 0.342
Fe4 0.470 0.514 0.989
Fe5 0.492 0.854 0.682
Fe6 0.937 0.319 0.650
O1 0.168 0.969 0.228
O2 0.280 0.136 0.571
O3 0.282 0.802 0.899
O4 0.284 0.471 0.217
O5 0.669 0.540 0.765
O6 0.782 0.380 0.424
O7 0.789 0.041 0.779
F1 0.169 0.306 0.895
F2 0.179 0.636 0.564
F3 0.676 0.209 0.096
F4 0.679 0.877 0.434
F5 0.775 0.711 0.101
```

Top 10 peaks for 2θ from 10° to 80°, in order of rising 2θ:
Position (°2θ), I_rel, hkl
26.55, 100, 1 1 1
27.09, 98, -1 1 1
34.77, 82, 1 1 -2
34.92, 26, 1 -1 2
40.08, 17, 1 -2 1
52.26, 31, 1 3 0
52.97, 43, 1 -3 0
60.05, 18, 0 2 -4
66.88, 20, 0 4 1
66.98, 21, 0 2 5



# 8
Starting from a GGA+U-relaxed structure, the powder X-ray diffraction pattern of Fe5O3F7 was simulated for Cu Kα (weighted mean of Kα1 and Kα2).
Kinematic intensities with the Lorentz-polarization factor, no thermal factor.

Structural model:
```
data_Fe5O3F7
_chemical_formula_sum 'Fe10 O6 F14'
_cell_length_a 4.811
_cell_length_b 4.820
_cell_length_c 15.576
_cell_angle_alpha 90.13
_cell_angle_beta 90.23
_cell_angle_gamma 91.02
_symmetry_space_group_name_H-M 'P 1'
_symmetry_Int_Tables_number 1
_symmetry_space_group_name_Hall 'P 1'
loop_
_atom_site_label
_atom_site_fract_x
_atom_site_fract_y
_atom_site_fract_z
Fe1 0.000 0.000 0.000
Fe2 0.000 0.003 0.801
Fe3 0.023 0.950 0.605
Fe4 0.454 0.452 0.102
Fe5 0.456 0.464 0.695
Fe6 0.465 0.466 0.899
Fe7 0.478 0.479 0.502
Fe8 0.518 0.503 0.307
Fe9 0.937 0.005 0.397
Fe10 0.981 0.972 0.201
O1 0.156 0.153 0.104
O2 0.166 0.157 0.700
O3 0.166 0.168 0.901
O4 0.287 0.669 0.591
O5 0.656 0.310 0.404
O6 0.788 0.788 0.292
F1 0.176 0.173 0.504
F2 0.192 0.193 0.293
F3 0.265 0.687 0.800
F4 0.267 0.683 0.002
F5 0.278 0.690 0.401
F6 0.283 0.676 0.208
F7 0.683 0.267 0.001
F8 0.683 0.279 0.207
F9 0.685 0.269 0.798
F10 0.692 0.264 0.592
F11 0.772 0.768 0.099
F12 0.777 0.779 0.901
F13 0.782 0.781 0.507
F14 0.783 0.772 0.702
```

Top 10 peaks for 2θ from 10° to 80°, in order of rising 2θ:
Position (°2θ), I_rel, hkl
25.94, 100, 1 -1 0
26.41, 100, 1 1 0
34.26, 83, 1 0 -5
34.36, 26, 1 0 5
39.03, 21, 1 -1 5
51.31, 46, -1 2 5
51.76, 31, 2 1 -5
51.98, 29, 1 2 5
53.34, 20, 2 -2 0
65.32, 21, 0 3 -5



# 9
Starting from a GGA+U-relaxed structure, the powder X-ray diffraction pattern of Fe4OF7 was simulated for Cu Kα (weighted mean of Kα1 and Kα2).
Kinematic intensities with the Lorentz-polarization factor, no thermal factor.

Structural model:
```
data_Fe4OF7
_chemical_formula_sum 'Fe16 O4 F28'
_cell_length_a 9.424
_cell_length_b 6.904
_cell_length_c 9.303
_cell_angle_alpha 90.00
_cell_angle_beta 92.60
_cell_angle_gamma 90.00
_symmetry_space_group_name_H-M 'C 1 2/m 1'
_symmetry_Int_Tables_number 12
_symmetry_space_group_name_Hall '-C 2y'
loop_
_atom_site_label
_atom_site_fract_x
_atom_site_fract_y
_atom_site_fract_z
Fe1 0.000 0.000 0.000
Fe2 0.000 0.500 0.500
Fe3 0.114 0.000 0.641
Fe4 0.118 0.500 0.129
Fe5 0.231 0.000 0.254
O1 0.024 0.000 0.212
F1 0.000 0.195 0.500
F2 0.000 0.302 0.000
F3 0.039 0.500 0.725
F4 0.227 0.000 0.024
F5 0.231 0.500 0.526
F6 0.247 0.306 0.255
```

Top 10 peaks for 2θ from 10° to 80°, in order of rising 2θ:
Position (°2θ), I_rel, hkl
25.81, 100, 0 2 0
26.33, 94, 2 0 -2
33.19, 53, 3 1 1
33.48, 51, 1 1 3
50.40, 35, 3 3 1
50.61, 34, 1 3 3
50.79, 28, 5 1 -1
51.41, 29, 1 1 -5
64.36, 22, 5 3 -1
64.89, 22, 1 3 -5



# 10
Starting from a GGA+U-relaxed structure, the powder X-ray diffraction pattern of Fe2OF3 was simulated for Cu Kα (weighted mean of Kα1 and Kα2).
Kinematic intensities with the Lorentz-polarization factor, no thermal factor.

Structural model:
```
data_Fe2OF3
_chemical_formula_sum 'Fe8 O4 F12'
_cell_length_a 4.814
_cell_length_b 6.319
_cell_length_c 10.110
_cell_angle_alpha 72.17
_cell_angle_beta 86.67
_cell_angle_gamma 89.51
_symmetry_space_group_name_H-M 'P -1'
_symmetry_Int_Tables_number 2
_symmetry_space_group_name_Hall '-P 1'
loop_
_atom_site_label
_atom_site_fract_x
_atom_site_fract_y
_atom_site_fract_z
Fe1 0.000 0.000 0.000
Fe2 0.000 0.500 0.000
Fe3 0.032 0.253 0.482
Fe4 0.499 0.371 0.750
Fe5 0.499 0.883 0.752
O1 0.297 0.059 0.849
O2 0.316 0.313 0.337
F1 0.189 0.710 0.100
F2 0.191 0.451 0.595
F3 0.202 0.952 0.600
F4 0.204 0.192 0.097
F5 0.285 0.834 0.360
F6 0.301 0.587 0.854
```

Top 10 peaks for 2θ from 10° to 80°, in order of rising 2θ:
Position (°2θ), I_rel, hkl
25.44, 100, 1 0 2
27.00, 88, 1 0 -2
33.83, 53, 1 2 1
34.09, 51, -1 2 1
50.45, 35, 2 2 3
50.64, 34, 1 2 5
52.03, 26, 2 2 -1
52.26, 20, 2 0 4
52.57, 24, -2 2 3
65.08, 21, 3 2 1



> What is the formula in the ninth record?

Fe4OF7



Copy entry 6 word for word.
Starting from a GGA+U-relaxed structure, the powder X-ray diffraction pattern of Fe4OF6 was simulated for Cu Kα (weighted mean of Kα1 and Kα2).
Kinematic intensities with the Lorentz-polarization factor, no thermal factor.

Structural model:
```
data_Fe4OF6
_chemical_formula_sum 'Fe8 O2 F12'
_cell_length_a 5.170
_cell_length_b 7.173
_cell_length_c 7.194
_cell_angle_alpha 91.50
_cell_angle_beta 90.34
_cell_angle_gamma 90.38
_symmetry_space_group_name_H-M 'P 1'
_symmetry_Int_Tables_number 1
_symmetry_space_group_name_Hall 'P 1'
loop_
_atom_site_label
_atom_site_fract_x
_atom_site_fract_y
_atom_site_fract_z
Fe1 0.000 0.000 0.000
Fe2 0.022 0.512 0.000
Fe3 0.407 0.763 0.252
Fe4 0.430 0.765 0.765
Fe5 0.499 0.276 0.723
Fe6 0.523 0.276 0.236
Fe7 0.906 0.527 0.487
Fe8 0.929 0.040 0.489
O1 0.215 0.770 0.995
O2 0.715 0.270 0.494
F1 0.089 0.785 0.453
F2 0.209 0.493 0.685
F3 0.215 0.481 0.282
F4 0.217 0.055 0.707
F5 0.220 0.079 0.271
F6 0.338 0.307 0.978
F7 0.590 0.731 0.510
F8 0.709 0.961 0.217
F9 0.714 0.558 0.205
F10 0.716 0.984 0.780
F11 0.719 0.547 0.804
F12 0.839 0.255 0.034
```

Top 10 peaks for 2θ from 10° to 80°, in order of rising 2θ:
Position (°2θ), I_rel, hkl
30.22, 92, 1 0 -2
30.40, 100, 1 2 0
34.87, 10, 0 2 -2
44.76, 10, 2 -2 1
50.02, 29, 2 2 -2
50.49, 15, -2 2 2
50.79, 19, 0 0 4
50.96, 33, 0 4 0
59.68, 23, 1 2 -4
60.92, 13, -1 4 2